Record 1
The following is a computed powder diffractogram of EuCuSb. It was derived from a structure optimized by DFT (GGA-PBE), using CuKα.

Top 10 peaks for 2θ from 10° to 80°, in order of falling intensity:
2theta  I (rel.)
30.8  1000
39.8  477
59.2  290
51.2  238
66.7  212
42.0  137
69.8  93
72.3  79
24.9  55
22.7  55

Structure:
Cell lengths 4.5281, 4.5281, 8.6137 Å; angles 90.00, 90.00, 120.00 degrees
Space group P6_3/mmc (No. 194)
One atom of each set of equivalent atoms:
Eu 0.0000 0.0000 0.0000 (multiplicity 2)
Cu 0.3333 0.6667 0.2500 (multiplicity 2)
Sb 0.3333 0.6667 0.7500 (multiplicity 2)


Record 2
The following is a computed powder diffractogram of EuCu2Si2. It was derived from a structure optimized by DFT (GGA-PBE), using CuKα.

Top 10 peaks for 2θ from 10° to 80°, in order of falling intensity:
2theta  I (rel.)
35.9  1000
34.8  447
23.5  395
44.3  380
76.1  209
57.6  206
51.1  164
36.1  156
64.8  153
58.5  149

Structure:
Cell lengths 4.0856, 4.0856, 9.9486 Å; angles 90.00, 90.00, 90.00 degrees
Space group I4/mmm (No. 139)
One atom of each set of equivalent atoms:
Eu 0.0000 0.0000 0.0000 (multiplicity 2)
Cu 0.0000 0.5000 0.2500 (multiplicity 4)
Si 0.0000 0.0000 0.3801 (multiplicity 4)


Record 3
The following is a computed powder diffractogram of EuCuSn. It was derived from a structure optimized by DFT (GGA-PBE), using CuKα.

Top 10 peaks for 2θ from 10° to 80°, in order of falling intensity:
2theta  I (rel.)
32.5  1000
38.4  560
31.8  463
39.6  368
32.9  321
37.1  171
52.2  164
62.4  155
31.4  150
61.0  137

Structure:
Cell lengths 11.0350, 4.5522, 7.5613 Å; angles 90.00, 131.88, 90.00 degrees
Space group C2/m (No. 12)
One atom of each set of equivalent atoms:
Eu 0.0462 0.0000 0.3064 (multiplicity 4)
Cu 0.1543 0.5000 0.7041 (multiplicity 4)
Sn 0.1723 0.5000 0.1067 (multiplicity 4)


Record 4
The following is a computed powder diffractogram of Eu3Cu8Sn4. It was derived from a structure optimized by DFT (GGA-PBE), using CuKα.

Top 10 peaks for 2θ from 10° to 80°, in order of falling intensity:
2theta  I (rel.)
32.0  1000
39.0  994
35.6  383
61.8  329
36.2  325
31.7  282
37.6  269
41.3  239
66.3  166
48.8  160

Structure:
Cell lengths 9.2356, 9.2356, 7.8276 Å; angles 90.00, 90.00, 120.00 degrees
Space group P6_3mc (No. 186)
One atom of each set of equivalent atoms:
Eu 0.0507 0.5253 0.0000 (multiplicity 6)
Cu 0.0000 0.0000 0.2729 (multiplicity 2)
Cu 0.1001 0.2001 0.0204 (multiplicity 6)
Cu 0.1626 0.3251 0.3263 (multiplicity 6)
Cu 0.3333 0.6667 0.6704 (multiplicity 2)
Sn 0.1677 0.3355 0.7045 (multiplicity 6)
Sn 0.3333 0.6667 0.3148 (multiplicity 2)


Record 5
The following is a computed powder diffractogram of Eu2CuTe4. It was derived from a structure optimized by DFT (GGA-PBE), using CuKα.

Top 10 peaks for 2θ from 10° to 80°, in order of falling intensity:
2theta  I (rel.)
33.4  1000
40.4  500
33.3  396
29.6  380
69.0  287
48.9  226
49.5  209
26.5  209
53.3  206
26.6  192

Structure:
Cell lengths 4.4701, 4.4701, 10.1024 Å; angles 90.00, 90.00, 90.00 degrees
Space group P-4m2 (No. 115)
One atom of each set of equivalent atoms:
Eu 0.0000 0.5000 0.2406 (multiplicity 2)
Cu 0.0000 0.0000 0.0000 (multiplicity 1)
Te 0.0000 0.0000 0.5000 (multiplicity 1)
Te 0.0000 0.5000 0.8586 (multiplicity 2)
Te 0.5000 0.5000 0.5000 (multiplicity 1)


Record 6
The following is a computed powder diffractogram of Cu3F. It was derived from a structure optimized by DFT (GGA-PBE), using CuKα.

Top 10 peaks for 2θ from 10° to 80°, in order of falling intensity:
2theta  I (rel.)
46.0  1000
40.1  254
44.1  253
72.8  147
29.4  144
61.1  131
19.7  105
34.5  73
58.7  61
57.2  34

Structure:
Cell lengths 5.1992, 5.1992, 4.1047 Å; angles 90.00, 90.00, 120.00 degrees
Space group P6_3/mmc (No. 194)
One atom of each set of equivalent atoms:
Cu 0.1633 0.3266 0.2500 (multiplicity 6)
F 0.3333 0.6667 0.7500 (multiplicity 2)


Record 7
The following is a computed powder diffractogram of KGaCuF6. It was derived from a structure optimized by DFT (GGA-PBE), using CuKα.

Top 10 peaks for 2θ from 10° to 80°, in order of falling intensity:
2theta  I (rel.)
29.6  1000
14.8  834
15.7  764
27.9  734
29.9  615
29.1  384
31.7  367
49.2  300
29.4  250
46.9  228

Structure:
Cell lengths 7.4352, 10.1154, 6.8319 Å; angles 90.00, 94.38, 90.00 degrees
Space group P2_1/c (No. 14)
One atom of each set of equivalent atoms:
K 0.2410 0.1159 0.9998 (multiplicity 4)
Ga 0.0000 0.0000 0.5000 (multiplicity 2)
Ga 0.5000 0.0000 0.5000 (multiplicity 2)
Cu 0.2574 0.7330 0.3160 (multiplicity 4)
F 0.0281 0.1602 0.6356 (multiplicity 4)
F 0.0766 0.5921 0.2411 (multiplicity 4)
F 0.2451 0.0208 0.4153 (multiplicity 4)
F 0.2451 0.6680 0.5771 (multiplicity 4)
F 0.4488 0.5575 0.2509 (multiplicity 4)
F 0.4898 0.6805 0.9018 (multiplicity 4)


Record 8
The following is a computed powder diffractogram of NaGdCu2F8. It was derived from a structure optimized by DFT (GGA-PBE), using CuKα.

Top 10 peaks for 2θ from 10° to 80°, in order of falling intensity:
2theta  I (rel.)
28.7  1000
18.3  548
48.2  386
55.9  301
37.7  197
46.9  175
32.7  170
77.9  164
45.3  143
58.3  132

Structure:
Cell lengths 5.4807, 5.4807, 10.4127 Å; angles 90.00, 90.00, 90.00 degrees
Space group I422 (No. 97)
One atom of each set of equivalent atoms:
Na 0.0000 0.0000 0.0000 (multiplicity 2)
Gd 0.0000 0.0000 0.5000 (multiplicity 2)
Cu 0.0000 0.5000 0.2500 (multiplicity 4)
F 0.1681 0.3119 0.6229 (multiplicity 16)